This entry pairs a crystal structure of AcNd6 with its calculated PXRD pattern. Radiation: Cu Ka. Structure: the GGA-PBE geometry in Alexandria.

Principal peaks in the range 2θ from 10° to 90°, by angle:
- 2θ = 30.15°, rel. 100.0
- 2θ = 43.15°, rel. 18.0
- 2θ = 53.43°, rel. 8.3
- 2θ = 53.58°, rel. 27.5
- 2θ = 62.75°, rel. 5.7
- 2θ = 71.05°, rel. 6.0
- 2θ = 71.16°, rel. 7.3
- 2θ = 87.05°, rel. 8.8

```
7
Lattice="7.835 4.523 1.213 -7.835 4.523 1.213 0.000 -9.047 1.213" Properties=species:S:1:pos:R:3 pbc="T T T"
Ac 0.000 0.000 0.000
Nd -3.407 0.512 1.026
Nd 1.260 -3.206 1.026
Nd -2.147 -2.695 2.613
Nd 2.147 2.695 1.026
Nd -1.260 3.206 2.613
Nd 3.407 -0.512 2.613
```

***

This entry pairs a crystal structure of Pr8Sm4Dy3 with its calculated PXRD pattern. Radiation: Cu Ka. Structure: the GGA-PBE geometry in Alexandria.

Principal peaks in the range 2θ from 10° to 90°, by angle:
- 2θ = 25.64°, rel. 14.0
- 2θ = 28.97°, rel. 100.0
- 2θ = 29.47°, rel. 41.8
- 2θ = 29.62°, rel. 13.5
- 2θ = 32.87°, rel. 21.2
- 2θ = 33.07°, rel. 23.6
- 2θ = 41.43°, rel. 30.8
- 2θ = 41.71°, rel. 15.7

```
15
Lattice="7.047 -6.169 0.000 7.047 6.169 0.000 -3.376 0.000 6.074" Properties=species:S:1:pos:R:3 pbc="T T T"
Pr 2.246 0.000 1.112
Pr 7.047 3.665 0.000
Pr 1.127 0.000 4.395
Pr 5.359 3.051 3.037
Pr 5.359 -3.051 3.037
Pr 9.592 0.000 1.680
Pr 7.047 -3.665 0.000
Pr 8.473 0.000 4.962
Sm 3.524 3.084 0.000
Sm 3.524 -3.084 0.000
Sm 7.047 0.000 0.000
Sm 5.359 0.000 3.037
Dy -1.688 0.000 3.037
Dy 1.836 3.084 3.037
Dy 1.836 -3.084 3.037
```

***

This entry pairs a crystal structure of Cd3In8Hg with its calculated PXRD pattern. Radiation: Cu Ka. Structure: the GGA-PBE geometry in Alexandria.

Principal peaks in the range 2θ from 10° to 90°, by angle:
- 2θ = 21.80°, rel. 28.7
- 2θ = 26.51°, rel. 73.7
- 2θ = 37.45°, rel. 100.0
- 2θ = 38.23°, rel. 80.9
- 2θ = 47.13°, rel. 15.0
- 2θ = 54.59°, rel. 32.7
- 2θ = 68.60°, rel. 32.3
- 2θ = 75.71°, rel. 20.9

```
12
Lattice="8.155 0.000 0.000 -4.078 7.063 0.000 0.000 0.000 5.942" Properties=species:S:1:pos:R:3 pbc="T T T"
Cd 0.000 0.000 0.000
Cd 0.000 4.708 0.000
Cd 4.078 2.354 0.000
In -1.341 2.324 1.489
In -2.736 4.739 4.453
In 2.683 0.000 1.489
In 1.341 2.324 4.453
In 0.000 4.708 2.971
In 4.078 2.354 2.971
In 5.472 0.000 4.453
In 2.736 4.739 1.489
Hg 0.000 0.000 2.971
```

***

This entry pairs a crystal structure of Li3Zn2Cd2Au4 with its calculated PXRD pattern. Radiation: Cu Ka. Structure: the GGA-PBE geometry in Alexandria.

Principal peaks in the range 2θ from 10° to 90°, by angle:
- 2θ = 23.04°, rel. 76.5
- 2θ = 28.05°, rel. 29.1
- 2θ = 33.34°, rel. 12.3
- 2θ = 39.70°, rel. 100.0
- 2θ = 40.48°, rel. 77.8
- 2θ = 57.99°, rel. 32.7
- 2θ = 73.10°, rel. 32.9
- 2θ = 73.62°, rel. 13.3

```
11
Lattice="4.457 0.000 0.000 -2.228 3.860 0.000 0.000 0.000 11.230" Properties=species:S:1:pos:R:3 pbc="T T T"
Li 0.000 0.000 0.000
Li 0.000 0.000 2.926
Li 0.000 0.000 8.304
Zn 0.000 2.573 0.894
Zn 2.228 1.287 10.336
Cd 0.000 2.573 6.437
Cd 2.228 1.287 4.793
Au 0.000 2.573 3.533
Au 0.000 2.573 9.468
Au 2.228 1.287 1.762
Au 2.228 1.287 7.697
```